Diffraction record for Ba3Mn2MoO9. The XRD peak list is calculated, not measured: it uses a crystal structure in Alexandria, relaxed with PBE+U and Cu Kα (λ = 1.5418 Å).

Atomic structure:
```
data_Ba3Mn2MoO9
_space_group_name_H-M_alt 'P -3 m 1'
_space_group_IT_number 164
_space_group_name_Hall '-P 3 2"'
_cell_length_a 5.7811
_cell_length_b 5.7811
_cell_length_c 7.1135
_cell_angle_alpha 90.00
_cell_angle_beta 90.00
_cell_angle_gamma 120.00
loop_
_atom_site_label
_atom_site_fract_x
_atom_site_fract_y
_atom_site_fract_z
Ba1 0.0000 0.0000 0.0000
Ba2 0.3333 0.6667 0.6749
Mn1 0.3333 0.6667 0.1553
Mo1 0.0000 0.0000 0.5000
O1 0.0000 0.5000 0.0000
O2 0.1602 0.3204 0.3417
```

Principal peaks in the range 10° ≤ 2θ ≤ 80°, sorted by position:
30.9 deg, intensity 100; 38.1 deg, intensity 10; 44.2 deg, intensity 33; 54.8 deg, intensity 9; 55.0 deg, intensity 29; 64.2 deg, intensity 10; 64.5 deg, intensity 10; 73.2 deg, intensity 8